1.
Structure and calculated X-ray diffraction stick pattern of PrEuMnNbO6 (a GGA+U-relaxed structure; Cu Kα).
No peak broadening, texture or thermal motion is included.

Unit cell a=5.770 b=5.770 c=5.770 alpha=60.00 beta=60.00 gamma=60.00
Element x y z (fractional)
Pr (0.000, 0.000, 0.000)
Eu (0.500, 0.500, 0.500)
Mn (0.250, 0.250, 0.250)
Nb (0.750, 0.750, 0.750)
O (0.506, 0.506, 0.994)
O (0.506, 0.994, 0.506)
O (0.506, 0.994, 0.994)
O (0.994, 0.506, 0.506)
O (0.994, 0.506, 0.994)
O (0.994, 0.994, 0.506)

Principal peaks in the range 5° ≤ 2θ ≤ 70°, sorted by position:
2θ 18.83, rel. 26
2θ 21.78, rel. 73
2θ 31.00, rel. 1000
2θ 36.52, rel. 12
2θ 38.20, rel. 129
2θ 44.40, rel. 313
2θ 49.98, rel. 42
2θ 55.14, rel. 394
2θ 64.61, rel. 189
2θ 69.06, rel. 23

=====

2.
Structure and calculated X-ray diffraction stick pattern of TlW6O18 (a GGA+U-relaxed structure; Cu Kα).
No peak broadening, texture or thermal motion is included.

Unit cell a=7.512 b=7.512 c=7.635 alpha=90.00 beta=90.00 gamma=120.00
Element x y z (fractional)
Tl (0.000, 0.000, 0.000)
W (0.000, 0.476, 0.748)
W (0.000, 0.525, 0.250)
W (0.475, 0.475, 0.250)
W (0.476, 0.000, 0.748)
W (0.524, 0.524, 0.748)
W (0.525, 0.000, 0.250)
O (0.000, 0.497, 0.499)
O (0.000, 0.504, 0.999)
O (0.209, 0.425, 0.249)
O (0.210, 0.784, 0.751)
O (0.216, 0.425, 0.751)
O (0.216, 0.791, 0.249)
O (0.425, 0.209, 0.249)
O (0.425, 0.216, 0.751)
O (0.496, 0.496, 0.999)
O (0.497, 0.000, 0.499)
O (0.503, 0.503, 0.499)
O (0.504, 0.000, 0.999)
O (0.575, 0.784, 0.249)
O (0.575, 0.790, 0.751)
O (0.784, 0.210, 0.751)
O (0.784, 0.575, 0.249)
O (0.790, 0.575, 0.751)
O (0.791, 0.216, 0.249)

Principal peaks in the range 5° ≤ 2θ ≤ 70°, sorted by position:
2θ 13.61, rel. 161
2θ 17.91, rel. 137
2θ 23.30, rel. 305
2θ 27.08, rel. 381
2θ 27.42, rel. 1000
2θ 33.47, rel. 228
2θ 36.28, rel. 271
2θ 48.48, rel. 228
2θ 55.84, rel. 281
2θ 56.59, rel. 138

=====

3.
Structure and calculated X-ray diffraction stick pattern of BaNdFe2O5 (a GGA+U-relaxed structure; Cu Kα).
No peak broadening, texture or thermal motion is included.

Unit cell a=4.030 b=4.030 c=7.764 alpha=90.00 beta=90.00 gamma=90.00
Element x y z (fractional)
Ba (0.000, 0.000, 0.000)
Nd (0.000, 0.000, 0.500)
Fe (0.500, 0.500, 0.262)
Fe (0.500, 0.500, 0.738)
O (0.000, 0.500, 0.306)
O (0.000, 0.500, 0.694)
O (0.500, 0.000, 0.306)
O (0.500, 0.000, 0.694)
O (0.500, 0.500, 0.000)

Principal peaks in the range 5° ≤ 2θ ≤ 70°, sorted by position:
2θ 22.06, rel. 169
2θ 31.39, rel. 438
2θ 32.01, rel. 1000
2θ 39.22, rel. 204
2θ 44.99, rel. 300
2θ 46.80, rel. 103
2θ 56.28, rel. 393
2θ 57.44, rel. 199
2θ 65.51, rel. 90
2θ 66.93, rel. 134

=====

4.
Structure and calculated X-ray diffraction stick pattern of SrNd3Fe4As4O4 (a GGA+U-relaxed structure; Cu Kα).
No peak broadening, texture or thermal motion is included.

Unit cell a=10.298 b=10.298 c=10.298 alpha=147.20 beta=147.20 gamma=47.07
Element x y z (fractional)
Sr (0.000, 0.000, 0.000)
Nd (0.124, 0.624, 0.500)
Nd (0.508, 0.508, 0.000)
Nd (0.624, 0.124, 0.500)
Fe (0.065, 0.065, 0.500)
Fe (0.065, 0.565, 0.000)
Fe (0.565, 0.065, 0.000)
Fe (0.565, 0.565, 0.500)
As (0.229, 0.229, 0.000)
As (0.401, 0.901, 0.500)
As (0.729, 0.729, 0.000)
As (0.901, 0.401, 0.500)
O (0.324, 0.324, 0.512)
O (0.324, 0.812, 0.000)
O (0.812, 0.324, 0.000)
O (0.812, 0.812, 0.488)

Principal peaks in the range 5° ≤ 2θ ≤ 70°, sorted by position:
2θ 28.79, rel. 1000
2θ 30.75, rel. 191
2θ 32.21, rel. 203
2θ 35.94, rel. 172
2θ 36.29, rel. 171
2θ 44.05, rel. 327
2θ 49.76, rel. 306
2θ 53.48, rel. 353
2θ 64.05, rel. 102
2θ 67.33, rel. 93

=====

5.
Structure and calculated X-ray diffraction stick pattern of Li4Nb3Co3Te2O16 (a GGA+U-relaxed structure; Cu Kα).
No peak broadening, texture or thermal motion is included.

Unit cell a=6.104 b=6.156 c=10.516 alpha=89.20 beta=89.97 gamma=60.34
Element x y z (fractional)
Li (0.000, 0.000, 0.000)
Li (0.006, 0.988, 0.488)
Li (0.341, 0.316, 0.578)
Li (0.669, 0.662, 0.084)
Nb (0.187, 0.626, 0.249)
Nb (0.355, 0.793, 0.765)
Nb (0.851, 0.792, 0.766)
Co (0.176, 0.160, 0.269)
Co (0.664, 0.160, 0.270)
Co (0.820, 0.361, 0.774)
Te (0.370, 0.260, 0.989)
Te (0.678, 0.643, 0.466)
O (0.003, 0.515, 0.657)
O (0.007, 0.986, 0.676)
O (0.012, 0.976, 0.185)
O (0.020, 0.496, 0.150)
O (0.151, 0.698, 0.880)
O (0.188, 0.125, 0.894)
O (0.328, 0.342, 0.376)
O (0.345, 0.814, 0.381)
O (0.482, 0.515, 0.657)
O (0.485, 0.497, 0.151)
O (0.489, 0.022, 0.133)
O (0.519, 0.962, 0.666)
O (0.656, 0.684, 0.887)
O (0.688, 0.124, 0.894)
O (0.841, 0.317, 0.383)
O (0.841, 0.814, 0.382)

Principal peaks in the range 5° ≤ 2θ ≤ 70°, sorted by position:
2θ 16.86, rel. 658
2θ 18.71, rel. 1000
2θ 18.80, rel. 647
2θ 23.93, rel. 468
2θ 30.46, rel. 465
2θ 30.70, rel. 390
2θ 33.52, rel. 493
2θ 33.95, rel. 751
2θ 34.80, rel. 321
2θ 56.03, rel. 393

=====

6.
Structure and calculated X-ray diffraction stick pattern of Na3Mn2P2C2O14 (a GGA+U-relaxed structure; Cu Kα).
No peak broadening, texture or thermal motion is included.

Unit cell a=6.591 b=10.299 c=10.404 alpha=61.28 beta=89.58 gamma=88.70
Element x y z (fractional)
Na (0.005, 0.262, 0.489)
Na (0.029, 0.258, 0.992)
Na (0.485, 0.262, 0.493)
Na (0.515, 0.738, 0.507)
Na (0.971, 0.742, 0.008)
Na (0.995, 0.738, 0.511)
Mn (0.255, 0.849, 0.687)
Mn (0.260, 0.849, 0.179)
Mn (0.740, 0.151, 0.821)
Mn (0.745, 0.151, 0.313)
P (0.245, 0.076, 0.819)
P (0.248, 0.071, 0.322)
P (0.752, 0.929, 0.678)
P (0.755, 0.924, 0.181)
C (0.249, 0.580, 0.343)
C (0.252, 0.580, 0.848)
C (0.748, 0.420, 0.152)
C (0.751, 0.420, 0.657)
O (0.058, 0.176, 0.804)
O (0.060, 0.168, 0.312)
O (0.240, 0.040, 0.687)
O (0.240, 0.443, 0.426)
O (0.242, 0.034, 0.193)
O (0.242, 0.929, 0.964)
O (0.245, 0.445, 0.926)
O (0.247, 0.679, 0.894)
O (0.249, 0.920, 0.467)
O (0.251, 0.645, 0.200)
O (0.256, 0.678, 0.392)
O (0.263, 0.648, 0.701)
O (0.433, 0.162, 0.316)
O (0.433, 0.170, 0.799)
O (0.567, 0.830, 0.201)
O (0.567, 0.838, 0.684)
O (0.737, 0.352, 0.299)
O (0.744, 0.322, 0.608)
O (0.749, 0.355, 0.800)
O (0.751, 0.080, 0.533)
O (0.753, 0.321, 0.106)
O (0.755, 0.555, 0.074)
O (0.758, 0.071, 0.036)
O (0.758, 0.966, 0.807)
O (0.760, 0.557, 0.574)
O (0.760, 0.960, 0.313)
O (0.940, 0.832, 0.688)
O (0.942, 0.824, 0.196)

Principal peaks in the range 5° ≤ 2θ ≤ 70°, sorted by position:
2θ 9.80, rel. 1000
2θ 16.48, rel. 195
2θ 16.83, rel. 185
2θ 19.46, rel. 126
2θ 19.94, rel. 144
2θ 24.32, rel. 144
2θ 25.77, rel. 293
2θ 27.06, rel. 353
2θ 34.01, rel. 158
2θ 34.50, rel. 212